Simulated PXRD pattern
Compound: KPuFeO4
Radiation: Cu Kα X-rays
Structure: DFT lattice parameters and positions (PBE+U)
Peak positions follow from Bragg's law for the DFT cell and can differ from measured ones.

Most intense lines, 2θ from 15° to 90°, by angle:
2θ/deg	I/Imax
16.1	100
21.3	20
24.4	21
30.0	65
32.6	25
33.2	19
34.5	22
35.3	30
46.5	27
57.1	22

Crystal structure
Lattice parameters (Å, degrees): 6.5827 6.5827 6.5827 114.84 112.57 101.31
Fractional positions:
K 0.4018 0.1518 0.2500
K 0.5982 0.8482 0.7500
Pu 0.0000 0.0000 0.5000
Pu 0.0000 0.5000 0.0000
Fe 0.0000 0.5000 0.5000
Fe 0.5000 0.5000 0.0000
O 0.1787 0.7434 0.4353
O 0.1920 0.2566 0.9353
O 0.2393 0.2920 0.5528
O 0.2393 0.6865 0.9472
O 0.7607 0.3135 0.0528
O 0.7607 0.7080 0.4472
O 0.8080 0.7434 0.0647
O 0.8213 0.2566 0.5647